Starting from a DFT-relaxed cell (PBE, the Materials Project), the PXRD pattern of TiO2 was computed for Cu Kα (λ = 1.5418 Å).

Structure:
```
TiO2
1.0
18.7076 0.0000 0.0000
0.0000 2.9809 0.0000
0.0000 0.0000 4.8024
Ti O
8 16
Cartesian
1.2973 0.7452 0.4362
3.5189 2.2357 2.8360
5.8349 0.7452 0.4348
8.0566 2.2357 2.8374
10.6511 0.7452 1.9651
12.8727 2.2357 4.3676
15.1888 0.7452 1.9664
17.4104 2.2357 4.3663
0.2525 2.2357 1.0263
2.2284 2.2357 4.2146
2.5558 0.7452 1.8484
4.4857 0.7452 3.5657
4.8681 2.2357 1.1645
6.7980 2.2357 4.2496
7.1254 0.7452 1.8134
9.1013 0.7452 3.4275
9.6063 2.2357 1.3750
11.5822 2.2357 2.9891
11.9096 0.7452 0.5528
13.8395 0.7452 3.6379
14.2219 2.2357 1.2367
16.1518 2.2357 2.9540
16.4792 0.7452 0.5879
18.4551 0.7452 3.7762
```

Most intense lines, 10° ≤ 2θ ≤ 80°, in order of rising 2θ:
hkl, Position (°2θ), I (rel.)
1 0 1, 19.08, 37
3 0 1, 23.38, 100
4 0 1, 26.60, 75
5 0 1, 30.28, 64
4 1 0, 35.74, 89
4 1 1, 40.50, 45
7 1 1, 49.59, 21
5 1 2, 54.87, 41
9 1 1, 57.34, 33
0 1 3, 66.26, 32